# 1
Diffraction record for Nd2AlNO3. The powder diffractogram is computed, not measured: it uses a cell relaxed with GGA-PBE and a wavelength of 1.5418 Å.
No peak broadening, texture or thermal motion is included.

Main lines, by angle (10° ≤ 2θ ≤ 90°):
- 2θ = 24.86°, d 3.582, I = 50.8
- 2θ = 32.08°, d 2.790, I = 100.0
- 2θ = 33.93°, d 2.642, I = 62.5
- 2θ = 44.79°, d 2.023, I = 44.0
- 2θ = 48.75°, d 1.868, I = 31.7
- 2θ = 59.56°, d 1.552, I = 35.9

```
Nd2AlNO3
1.0
3.7361 0.0000 0.0000
0.0000 3.7361 0.0000
0.0000 0.0000 12.5871
Nd Al N O
4 2 2 6
Direct
0.0000 0.0000 0.0000
0.0000 0.0000 0.2888
0.5000 0.5000 0.5000
0.5000 0.5000 0.7888
0.0000 0.0000 0.6380
0.5000 0.5000 0.1380
0.0000 0.0000 0.4772
0.5000 0.5000 0.9772
0.0000 0.0000 0.8104
0.0000 0.5000 0.1506
0.0000 0.5000 0.6506
0.5000 0.0000 0.1506
0.5000 0.0000 0.6506
0.5000 0.5000 0.3104
```

=====

# 2
Diffraction record for Ti3Al2NiN. The powder diffractogram is computed, not measured: it uses a cell relaxed with GGA-PBE and a wavelength of 1.5418 Å.
No peak broadening, texture or thermal motion is included.

Main lines, by angle (10° ≤ 2θ ≤ 90°):
- 2θ = 34.37°, d 2.609, I = 33.4
- 2θ = 38.79°, d 2.322, I = 40.6
- 2θ = 41.24°, d 2.189, I = 100.0
- 2θ = 45.09°, d 2.011, I = 41.3
- 2θ = 70.21°, d 1.340, I = 32.2
- 2θ = 84.81°, d 1.143, I = 17.7

```
Ti3Al2NiN
1.0
0.0000 5.6871 5.6871
5.6871 0.0000 5.6871
5.6871 5.6871 0.0000
Ti Al Ni N
12 8 4 4
Direct
0.0604 0.0604 0.6896
0.0604 0.6896 0.0604
0.0604 0.6896 0.6896
0.3104 0.3104 0.9396
0.3104 0.9396 0.3104
0.3104 0.9396 0.9396
0.6896 0.0604 0.0604
0.6896 0.0604 0.6896
0.6896 0.6896 0.0604
0.9396 0.3104 0.3104
0.9396 0.3104 0.9396
0.9396 0.9396 0.3104
0.2922 0.2922 0.2922
0.2922 0.2922 0.6235
0.2922 0.6235 0.2922
0.3765 0.7078 0.7078
0.6235 0.2922 0.2922
0.7078 0.3765 0.7078
0.7078 0.7078 0.3765
0.7078 0.7078 0.7078
0.0000 0.5000 0.5000
0.5000 0.0000 0.5000
0.5000 0.5000 0.0000
0.5000 0.5000 0.5000
0.0000 0.0000 0.0000
0.0000 0.0000 0.5000
0.0000 0.5000 0.0000
0.5000 0.0000 0.0000
```

=====

# 3
Diffraction record for Al3NO3. The powder diffractogram is computed, not measured: it uses a cell relaxed with GGA-PBE and a wavelength of 1.5418 Å.
No peak broadening, texture or thermal motion is included.

Main lines, by angle (10° ≤ 2θ ≤ 90°):
- 2θ = 31.39°, d 2.849, I = 39.7
- 2θ = 36.98°, d 2.431, I = 100.0
- 2θ = 37.16°, d 2.420, I = 50.2
- 2θ = 44.94°, d 2.017, I = 25.6
- 2θ = 45.10°, d 2.010, I = 50.7
- 2θ = 65.56°, d 1.424, I = 73.4

```
Al3NO3
1.0
5.7101 0.0000 0.0000
0.0000 5.6618 0.0000
0.0000 0.0000 8.0683
Al N O
12 4 12
Direct
0.0000 0.0000 0.0000
0.0000 0.5000 0.0000
0.0079 0.2500 0.3827
0.2494 0.2500 0.7424
0.2506 0.7500 0.2424
0.4921 0.7500 0.8827
0.5000 0.0000 0.5000
0.5000 0.5000 0.5000
0.5079 0.2500 0.1173
0.7494 0.2500 0.7576
0.7506 0.7500 0.2576
0.9921 0.7500 0.6173
0.2262 0.7500 0.0083
0.2738 0.2500 0.5083
0.7262 0.7500 0.4917
0.7738 0.2500 0.9917
0.0016 0.0132 0.7535
0.0016 0.4868 0.7535
0.2410 0.2500 0.9874
0.2590 0.7500 0.4874
0.4984 0.5132 0.2535
0.4984 0.9868 0.2535
0.5016 0.0132 0.7465
0.5016 0.4868 0.7465
0.7410 0.2500 0.5126
0.7590 0.7500 0.0126
0.9984 0.5132 0.2465
0.9984 0.9868 0.2465
```

=====

# 4
Diffraction record for Al3NO3. The powder diffractogram is computed, not measured: it uses a cell relaxed with GGA-PBE and a wavelength of 1.5418 Å.
No peak broadening, texture or thermal motion is included.

Main lines, by angle (10° ≤ 2θ ≤ 90°):
- 2θ = 36.78°, d 2.444, I = 45.8
- 2θ = 37.08°, d 2.425, I = 100.0
- 2θ = 37.23°, d 2.415, I = 47.2
- 2θ = 45.05°, d 2.012, I = 99.4
- 2θ = 65.22°, d 1.431, I = 70.1
- 2θ = 66.00°, d 1.415, I = 71.3

```
Al3NO3
1.0
2.8308 1.6344 4.6974
-2.8308 1.6344 4.6974
0.0000 -3.2687 4.6974
Al N O
6 2 6
Direct
0.0000 0.0000 0.0000
0.0000 0.0000 0.5000
0.0000 0.5000 0.0000
0.3667 0.3667 0.3667
0.5000 0.0000 0.0000
0.6333 0.6333 0.6333
0.2369 0.2369 0.2369
0.7631 0.7631 0.7631
0.2341 0.7595 0.7595
0.2405 0.2405 0.7659
0.2405 0.7659 0.2405
0.7595 0.2341 0.7595
0.7595 0.7595 0.2341
0.7659 0.2405 0.2405
```

=====

# 5
Diffraction record for Al2P2NO8. The powder diffractogram is computed, not measured: it uses a cell relaxed with GGA-PBE and a wavelength of 1.5418 Å.
No peak broadening, texture or thermal motion is included.

Main lines, by angle (10° ≤ 2θ ≤ 90°):
- 2θ = 13.37°, d 6.623, I = 68.2
- 2θ = 14.86°, d 5.963, I = 45.5
- 2θ = 20.49°, d 4.335, I = 100.0
- 2θ = 23.06°, d 3.857, I = 72.2
- 2θ = 26.22°, d 3.399, I = 65.6
- 2θ = 27.35°, d 3.261, I = 68.5

```
Al2P2NO8
1.0
6.6337 -6.6230 0.0000
6.6337 6.6230 0.0000
-1.6166 0.0000 8.6703
Al P N O
8 8 4 32
Direct
0.0492 0.7878 0.9446
0.2122 0.9508 0.5554
0.3045 0.4242 0.6075
0.4242 0.3045 0.1075
0.5758 0.6955 0.8925
0.6955 0.5758 0.3925
0.7878 0.0492 0.4446
0.9508 0.2122 0.0554
0.0802 0.2019 0.4100
0.2019 0.0802 0.9100
0.2932 0.5584 0.9580
0.4416 0.7068 0.5420
0.5584 0.2932 0.4580
0.7068 0.4416 0.0420
0.7981 0.9198 0.0900
0.9198 0.7981 0.5900
0.0705 0.5736 0.2750
0.4264 0.9295 0.2250
0.5736 0.0705 0.7750
0.9295 0.4264 0.7250
0.0485 0.2298 0.2411
0.0608 0.8350 0.5301
0.0755 0.1857 0.9218
0.1489 0.3374 0.5074
0.1506 0.6353 0.9755
0.1650 0.9392 0.9699
0.1857 0.0755 0.4218
0.2298 0.0485 0.7411
0.2828 0.4585 0.8032
0.3259 0.4643 0.0891
0.3264 0.5880 0.5347
0.3374 0.1489 0.0074
0.3647 0.8494 0.5245
0.4120 0.6736 0.9653
0.4585 0.2828 0.3032
0.4643 0.3259 0.5891
0.5357 0.6741 0.4109
0.5415 0.7172 0.6968
0.5880 0.3264 0.0347
0.6353 0.1506 0.4755
0.6626 0.8511 0.9926
0.6736 0.4120 0.4653
0.6741 0.5357 0.9109
0.7172 0.5415 0.1968
0.7702 0.9515 0.2589
0.8143 0.9245 0.5782
0.8350 0.0608 0.0301
0.8494 0.3647 0.0245
0.8511 0.6626 0.4926
0.9245 0.8143 0.0782
0.9392 0.1650 0.4699
0.9515 0.7702 0.7589
```